Entry 1:
# Ca2ReP
Computed powder diffraction line list, Cu Kα. Input: DFT lattice parameters and positions (GGA-PBE).
No peak broadening, texture or thermal motion is included.

Main lines, by angle (2θ = 10–80°):
2θ = 10.4°, 8.525 Å, I = 100.0; 2θ = 27.6°, 3.236 Å, I = 14.9; 2θ = 29.5°, 3.026 Å, I = 23.9; 2θ = 31.5°, 2.842 Å, I = 12.0; 2θ = 34.8°, 2.577 Å, I = 33.8; 2θ = 39.4°, 2.288 Å, I = 22.3; 2θ = 40.8°, 2.210 Å, I = 15.2; 2θ = 42.3°, 2.135 Å, I = 27.1; 2θ = 51.3°, 1.782 Å, I = 16.9; 2θ = 73.4°, 1.289 Å, I = 11.7

Cell and atoms:
abc: 3.236 3.236 8.525
angles: 90.00 90.00 90.00
Fractional positions:
Ca: 0.000 0.000 0.000
Ca: 0.500 0.500 0.398
Re: 0.500 0.500 0.745
P: 0.000 0.000 0.633

=====

Entry 2:
# Ca3P3Rh2
Computed powder diffraction line list, Cu Kα. Input: DFT lattice parameters and positions (GGA-PBE).
No peak broadening, texture or thermal motion is included.

Main lines, by angle (2θ = 10–80°):
2θ = 12.8°, 6.942 Å, I = 56.1; 2θ = 18.9°, 4.688 Å, I = 62.7; 2θ = 27.1°, 3.294 Å, I = 23.5; 2θ = 30.1°, 2.965 Å, I = 24.8; 2θ = 33.1°, 2.703 Å, I = 39.4; 2θ = 34.7°, 2.582 Å, I = 20.7; 2θ = 38.0°, 2.367 Å, I = 100.0; 2θ = 38.1°, 2.360 Å, I = 24.1; 2θ = 38.9°, 2.314 Å, I = 39.8; 2θ = 43.0°, 2.102 Å, I = 39.3

Cell and atoms:
abc: 7.724 13.885 5.899
angles: 90.00 90.00 90.00
Fractional positions:
Ca: 0.039 0.112 0.132
Ca: 0.039 0.388 0.132
Ca: 0.184 0.250 0.624
Ca: 0.316 0.750 0.124
Ca: 0.461 0.612 0.632
Ca: 0.461 0.888 0.632
Ca: 0.539 0.112 0.368
Ca: 0.539 0.388 0.368
Ca: 0.684 0.250 0.876
Ca: 0.816 0.750 0.376
Ca: 0.961 0.612 0.868
Ca: 0.961 0.888 0.868
P: 0.167 0.750 0.583
P: 0.196 0.051 0.625
P: 0.196 0.449 0.625
P: 0.304 0.551 0.125
P: 0.304 0.949 0.125
P: 0.333 0.250 0.083
P: 0.667 0.750 0.917
P: 0.696 0.051 0.875
P: 0.696 0.449 0.875
P: 0.804 0.551 0.375
P: 0.804 0.949 0.375
P: 0.833 0.250 0.417
Rh: 0.101 0.579 0.401
Rh: 0.101 0.921 0.401
Rh: 0.399 0.079 0.901
Rh: 0.399 0.421 0.901
Rh: 0.601 0.579 0.099
Rh: 0.601 0.921 0.099
Rh: 0.899 0.079 0.599
Rh: 0.899 0.421 0.599

=====

Entry 3:
# CaTcP2Rh
Computed powder diffraction line list, Cu Kα. Input: DFT lattice parameters and positions (GGA-PBE).
No peak broadening, texture or thermal motion is included.

Main lines, by angle (2θ = 10–80°):
2θ = 17.8°, 4.980 Å, I = 70.6; 2θ = 34.8°, 2.577 Å, I = 15.0; 2θ = 35.9°, 2.500 Å, I = 100.0; 2θ = 36.1°, 2.490 Å, I = 14.7; 2θ = 44.3°, 2.044 Å, I = 43.5; 2θ = 48.1°, 1.891 Å, I = 20.9; 2θ = 48.2°, 1.887 Å, I = 36.0; 2θ = 58.4°, 1.580 Å, I = 14.2; 2θ = 64.8°, 1.440 Å, I = 19.5; 2θ = 76.1°, 1.251 Å, I = 26.9

Cell and atoms:
abc: 4.088 4.088 9.961
angles: 90.00 90.00 90.00
Fractional positions:
Ca: 0.000 0.000 0.000
Ca: 0.500 0.500 0.500
Tc: 0.000 0.500 0.250
Tc: 0.500 0.000 0.750
P: 0.000 0.000 0.369
P: 0.000 0.000 0.631
P: 0.500 0.500 0.131
P: 0.500 0.500 0.869
Rh: 0.000 0.500 0.750
Rh: 0.500 0.000 0.250

=====

Entry 4:
# CaUP2Rh5
Computed powder diffraction line list, Cu Kα. Input: DFT lattice parameters and positions (GGA-PBE).
No peak broadening, texture or thermal motion is included.

Main lines, by angle (2θ = 10–80°):
2θ = 22.2°, 4.007 Å, I = 62.5; 2θ = 27.8°, 3.210 Å, I = 31.4; 2θ = 35.8°, 2.505 Å, I = 100.0; 2θ = 40.5°, 2.229 Å, I = 21.9; 2θ = 40.6°, 2.221 Å, I = 60.0; 2θ = 45.3°, 2.003 Å, I = 55.9; 2θ = 46.6°, 1.948 Å, I = 36.2; 2θ = 51.0°, 1.790 Å, I = 28.9; 2θ = 70.6°, 1.334 Å, I = 25.9; 2θ = 77.4°, 1.233 Å, I = 21.4

Cell and atoms:
abc: 4.007 4.007 10.731
angles: 90.00 90.00 90.00
Fractional positions:
Ca: 0.000 0.000 0.000
U: 0.500 0.500 0.500
P: 0.500 0.500 0.209
P: 0.500 0.500 0.791
Rh: 0.000 0.500 0.322
Rh: 0.000 0.500 0.678
Rh: 0.500 0.000 0.322
Rh: 0.500 0.000 0.678
Rh: 0.500 0.500 0.000

=====

Entry 5:
# CaPS
Computed powder diffraction line list, Cu Kα. Input: DFT lattice parameters and positions (GGA-PBE).
No peak broadening, texture or thermal motion is included.

Main lines, by angle (2θ = 10–80°):
2θ = 20.5°, 4.334 Å, I = 62.0; 2θ = 29.8°, 3.001 Å, I = 57.2; 2θ = 31.8°, 2.810 Å, I = 33.7; 2θ = 32.2°, 2.780 Å, I = 100.0; 2θ = 35.7°, 2.513 Å, I = 78.8; 2θ = 36.2°, 2.482 Å, I = 45.6; 2θ = 37.7°, 2.388 Å, I = 24.3; 2θ = 42.6°, 2.122 Å, I = 27.5; 2θ = 45.9°, 1.978 Å, I = 30.7; 2θ = 50.0°, 1.825 Å, I = 30.2

Cell and atoms:
abc: 4.245 5.490 6.859
angles: 92.30 107.59 112.35
Fractional positions:
Ca: 0.000 0.000 0.000
Ca: 0.499 0.387 0.560
P: 0.345 0.699 0.223
P: 0.353 0.549 0.930
S: 0.206 0.795 0.696
S: 0.737 0.126 0.301

=====

Entry 6:
# CaSnP2S8
Computed powder diffraction line list, Cu Kα. Input: DFT lattice parameters and positions (GGA-PBE).
No peak broadening, texture or thermal motion is included.

Main lines, by angle (2θ = 10–80°):
2θ = 17.1°, 5.174 Å, I = 39.7; 2θ = 19.9°, 4.462 Å, I = 100.0; 2θ = 26.6°, 3.354 Å, I = 73.3; 2θ = 29.9°, 2.987 Å, I = 39.4; 2θ = 31.6°, 2.829 Å, I = 50.4; 2θ = 36.3°, 2.472 Å, I = 89.0; 2θ = 40.4°, 2.231 Å, I = 26.7; 2θ = 51.1°, 1.787 Å, I = 25.8; 2θ = 51.5°, 1.773 Å, I = 42.2; 2θ = 53.1°, 1.725 Å, I = 45.9

Cell and atoms:
abc: 5.974 5.974 8.812
angles: 90.00 90.00 120.00
Fractional positions:
Ca: 0.000 0.000 0.000
Sn: 0.000 0.000 0.500
P: 0.333 0.667 0.757
P: 0.667 0.333 0.243
S: 0.000 0.328 0.695
S: 0.000 0.672 0.305
S: 0.328 0.000 0.695
S: 0.328 0.328 0.305
S: 0.333 0.667 0.983
S: 0.667 0.333 0.017
S: 0.672 0.000 0.305
S: 0.672 0.672 0.695

=====

Entry 7:
# CaTl2P2S6
Computed powder diffraction line list, Cu Kα. Input: DFT lattice parameters and positions (GGA-PBE).
No peak broadening, texture or thermal motion is included.

Main lines, by angle (2θ = 10–80°):
2θ = 12.3°, 7.225 Å, I = 62.5; 2θ = 16.9°, 5.231 Å, I = 52.7; 2θ = 22.2°, 4.013 Å, I = 54.7; 2θ = 25.4°, 3.508 Å, I = 73.9; 2θ = 25.8°, 3.448 Å, I = 100.0; 2θ = 31.1°, 2.879 Å, I = 74.8; 2θ = 34.3°, 2.615 Å, I = 71.0; 2θ = 36.5°, 2.459 Å, I = 41.5; 2θ = 46.0°, 1.974 Å, I = 47.3; 2θ = 53.1°, 1.724 Å, I = 34.3

Cell and atoms:
abc: 8.249 8.249 8.249
angles: 49.42 49.42 49.42
Fractional positions:
Ca: 0.000 0.000 0.000
Tl: 0.218 0.218 0.218
Tl: 0.782 0.782 0.782
P: 0.447 0.447 0.447
P: 0.553 0.553 0.553
S: 0.244 0.739 0.739
S: 0.261 0.261 0.756
S: 0.261 0.756 0.261
S: 0.739 0.244 0.739
S: 0.739 0.739 0.244
S: 0.756 0.261 0.261

=====

Entry 8:
# Ca3ScU3P8
Computed powder diffraction line list, Cu Kα. Input: DFT lattice parameters and positions (GGA-PBE).
No peak broadening, texture or thermal motion is included.

Main lines, by angle (2θ = 10–80°):
2θ = 13.4°, 6.624 Å, I = 85.9; 2θ = 15.7°, 5.658 Å, I = 22.1; 2θ = 26.3°, 3.391 Å, I = 44.2; 2θ = 27.4°, 3.252 Å, I = 43.2; 2θ = 31.6°, 2.829 Å, I = 100.0; 2θ = 41.2°, 2.190 Å, I = 20.5; 2θ = 45.0°, 2.014 Å, I = 35.3; 2θ = 45.7°, 1.987 Å, I = 35.9; 2θ = 47.8°, 1.903 Å, I = 24.0; 2θ = 56.6°, 1.626 Å, I = 18.6

Cell and atoms:
abc: 8.058 8.058 8.058
angles: 59.10 59.10 59.10
Fractional positions:
Ca: 0.000 0.500 0.500
Ca: 0.500 0.000 0.500
Ca: 0.500 0.500 0.000
Sc: 0.500 0.500 0.500
U: 0.000 0.000 0.500
U: 0.000 0.500 0.000
U: 0.500 0.000 0.000
P: 0.237 0.740 0.740
P: 0.243 0.243 0.243
P: 0.260 0.260 0.763
P: 0.260 0.763 0.260
P: 0.740 0.237 0.740
P: 0.740 0.740 0.237
P: 0.757 0.757 0.757
P: 0.763 0.260 0.260